Ta3CuRh4: calculated powder diffraction line list (CuKα), based on a structure optimized by DFT (PBE).
Peak positions follow from Bragg's law for the DFT cell and can differ from measured ones.

Largest 10 diffraction maxima, in order of rising 2θ, 2θ from 15° to 90°:
Position (°2θ)  d (Å)  Rel. int.  index
38.12  2.361  292  1 2 1
39.25  2.295  254  1 0 2
39.81  2.265  421  4 0 0
41.99  2.152  1000  2 2 1
43.03  2.102  147  2 0 2
47.87  1.900  158  3 2 1
48.81  1.866  136  3 0 2
67.73  1.383  117  0 2 3
73.76  1.285  191  6 2 1
81.54  1.181  183  4 2 3

Cell and atoms:
Unit cell a=9.058 b=5.706 c=4.746 alpha=90.00 beta=90.00 gamma=90.00
Space group Pmma (No. 51)
Inequivalent atoms, fractional coordinates:
Ta1 0.000 0.000 0.000 (multiplicity 2)
Ta2 0.250 0.000 0.396 (multiplicity 2)
Ta3 0.250 0.500 0.350 (multiplicity 2)
Cu1 0.000 0.500 0.000 (multiplicity 2)
Rh1 0.000 0.254 0.500 (multiplicity 4)
Rh2 0.250 0.256 0.874 (multiplicity 4)

***

Tm7Ni2Au2: calculated powder diffraction line list (CuKα), based on a structure optimized by DFT (PBE).
Peak positions follow from Bragg's law for the DFT cell and can differ from measured ones.

Largest 10 diffraction maxima, in order of rising 2θ, 2θ from 15° to 90°:
Position (°2θ)  d (Å)  Rel. int.  index
29.94  2.985  322  1 3 0
30.29  2.951  242  0 5 1
31.66  2.826  424  1 1 2
33.60  2.667  603  0 3 3
35.08  2.558  1000  1 4 1
35.72  2.513  359  1 3 2
39.80  2.265  438  1 2 3
50.01  1.824  244  2 0 0
52.04  1.757  233  1 7 2
61.60  1.506  214  2 3 3

Cell and atoms:
Unit cell a=3.648 b=15.552 c=9.333 alpha=90.00 beta=90.00 gamma=90.00
Space group Imm2 (No. 44)
Inequivalent atoms, fractional coordinates:
Tm1 0.000 0.000 0.000 (multiplicity 2)
Tm2 0.000 0.120 0.413 (multiplicity 4)
Tm3 0.000 0.309 0.610 (multiplicity 4)
Tm4 0.000 0.360 0.256 (multiplicity 4)
Ni1 0.000 0.244 0.910 (multiplicity 4)
Au1 0.000 0.000 0.666 (multiplicity 2)
Au2 0.000 0.500 0.746 (multiplicity 2)

***

ErPd14Au: calculated powder diffraction line list (CuKα), based on a structure optimized by DFT (PBE).
Peak positions follow from Bragg's law for the DFT cell and can differ from measured ones.

Largest 10 diffraction maxima, in order of rising 2θ, 2θ from 15° to 90°:
Position (°2θ)  d (Å)  Rel. int.  index
24.89  3.577  19  1 1 1
33.64  2.664  13  2 0 1
38.97  2.311  1000  2 0 2
45.05  2.012  164  0 0 4
45.44  1.996  322  2 2 0
65.91  1.417  207  2 2 4
66.21  1.411  103  4 0 0
79.02  1.212  122  2 0 6
79.58  1.205  243  4 2 2
83.69  1.156  107  4 0 4

Cell and atoms:
Unit cell a=5.646 b=5.646 c=8.050 alpha=90.00 beta=90.00 gamma=90.00
Space group P4/mmm (No. 123)
Inequivalent atoms, fractional coordinates:
Er1 0.000 0.000 0.000 (multiplicity 1)
Pd1 0.000 0.000 0.500 (multiplicity 1)
Pd2 0.000 0.500 0.000 (multiplicity 2)
Pd3 0.000 0.500 0.500 (multiplicity 2)
Pd4 0.251 0.251 0.255 (multiplicity 8)
Pd5 0.500 0.500 0.500 (multiplicity 1)
Au1 0.500 0.500 0.000 (multiplicity 1)

***

YIn7Hg12: calculated powder diffraction line list (CuKα), based on a structure optimized by DFT (PBE).
Peak positions follow from Bragg's law for the DFT cell and can differ from measured ones.

Largest 10 diffraction maxima, in order of rising 2θ, 2θ from 15° to 90°:
Position (°2θ)  d (Å)  Rel. int.  index
25.32  3.518  227  0 0 3
26.40  3.376  269  3 -2 2
28.65  3.116  340  1 1 3
28.96  3.083  142  1 3 1
32.55  2.751  235  3 1 2
34.43  2.605  133  3 0 3
34.70  2.585  1000  3 2 1
37.02  2.428  188  4 -2 3
37.80  2.380  654  5 -3 2
60.09  1.540  213  1 7 0

Cell and atoms:
Unit cell a=13.4221 b=13.4221 c=10.5542 alpha=90.00 beta=90.00 gamma=120.00
Space group R-3 (No. 148, hexagonal axes)
Inequivalent atoms, fractional coordinates:
Y1 0.0000 0.0000 0.0000 (multiplicity 3)
In1 0.0000 0.0000 0.5000 (multiplicity 3)
In2 0.0191 0.1545 0.7488 (multiplicity 18)
Hg1 0.0395 0.2573 0.4029 (multiplicity 18)
Hg2 0.0598 0.5596 0.6718 (multiplicity 18)

***

Pr6Sm3Er2Mg: calculated powder diffraction line list (CuKα), based on a structure optimized by DFT (PBE).
Peak positions follow from Bragg's law for the DFT cell and can differ from measured ones.

Largest 10 diffraction maxima, in order of rising 2θ, 2θ from 15° to 90°:
Position (°2θ)  d (Å)  Rel. int.  index
30.09  2.970  1000  1 3 1
30.56  2.925  318  0 0 4
35.03  2.562  667  2 0 2
50.08  1.822  162  3 3 -1
50.68  1.801  232  2 0 -6
59.53  1.553  144  2 6 -2
59.78  1.547  191  3 3 -5
60.35  1.534  136  1 3 -7
62.56  1.485  124  4 0 -4
81.43  1.182  118  1 9 1

Cell and atoms:
Unit cell a=6.308 b=10.938 c=11.889 alpha=90.00 beta=100.25 gamma=90.00
Space group C2/m (No. 12)
Inequivalent atoms, fractional coordinates:
Pr1 0.247 0.166 0.245 (multiplicity 8)
Pr2 0.248 0.500 0.246 (multiplicity 4)
Sm1 0.000 0.167 0.500 (multiplicity 4)
Sm2 0.000 0.500 0.500 (multiplicity 2)
Er1 0.000 0.334 0.000 (multiplicity 4)
Mg1 0.000 0.000 0.000 (multiplicity 2)

***

Pm4InHg: calculated powder diffraction line list (CuKα), based on a structure optimized by DFT (PBE).
Peak positions follow from Bragg's law for the DFT cell and can differ from measured ones.

Largest 10 diffraction maxima, in order of rising 2θ, 2θ from 15° to 90°:
Position (°2θ)  d (Å)  Rel. int.  index
25.64  3.475  355  1 0 1
30.83  2.901  414  0 2 0
33.95  2.640  420  0 1 3
34.80  2.578  1000  1 1 2
40.53  2.226  303  0 0 4
57.25  1.609  136  1 0 5
57.41  1.605  237  1 3 2
58.33  1.582  136  2 2 0
60.28  1.535  161  2 1 3
66.44  1.407  174  1 2 5

Cell and atoms:
Unit cell a=3.775 b=5.801 c=8.895 alpha=90.00 beta=90.00 gamma=90.00
Space group Pmmm (No. 47)
Inequivalent atoms, fractional coordinates:
Pm1 0.000 0.000 0.205 (multiplicity 2)
Pm2 0.500 0.500 0.289 (multiplicity 2)
In1 0.500 0.000 0.500 (multiplicity 1)
Hg1 0.000 0.500 0.000 (multiplicity 1)

***

CsBaCuF6: calculated powder diffraction line list (CuKα), based on a structure optimized by DFT (PBE).
Peak positions follow from Bragg's law for the DFT cell and can differ from measured ones.

Largest 10 diffraction maxima, in order of rising 2θ, 2θ from 15° to 90°:
Position (°2θ)  d (Å)  Rel. int.  index
25.04  3.556  1000  0 2 1
25.23  3.529  322  1 1 -2
25.53  3.489  712  2 2 -1
26.19  3.402  610  3 1 -2
26.99  3.303  578  0 0 2
27.36  3.260  385  2 2 0
28.13  3.172  482  3 1 0
39.88  2.261  476  2 2 -3
41.56  2.173  348  3 3 0
48.14  1.890  392  6 2 -2

Cell and atoms:
Unit cell a=12.737 b=8.438 c=8.195 alpha=90.00 beta=126.28 gamma=90.00
Space group C2/m (No. 12)
Inequivalent atoms, fractional coordinates:
Cs1 0.162 0.000 0.438 (multiplicity 4)
Ba1 0.250 0.250 0.000 (multiplicity 4)
Cu1 0.000 0.500 0.000 (multiplicity 2)
Cu2 0.000 0.500 0.500 (multiplicity 2)
F1 0.070 0.500 0.843 (multiplicity 4)
F2 0.115 0.000 0.834 (multiplicity 4)
F3 0.124 0.349 0.595 (multiplicity 8)
F4 0.126 0.336 0.166 (multiplicity 8)